ZnAg5: computed powder diffractogram (copper Kα), based on a cell relaxed with PBE.
Intensities are scaled so that the largest is 100.

Atomic structure:
Lattice parameters (Å, degrees): 5.0540 5.0540 28.4002 90.00 90.00 120.00
Space group R-3c (No. 167, hexagonal axes)
Asymmetric unit:
Zn  0.0000  0.0000  0.0000
Ag  0.0000  0.0000  0.1673
Ag  0.0000  0.3379  0.2500

Peak list (8 most intense, 5° ≤ 2θ ≤ 70°, sorted by position)
d 2.527, I = 5, hkl 1 1 0; d 2.442, I = 52, hkl 1 1 3; d 2.367, I = 37, hkl 0 0 12; d 2.229, I = 100, hkl 1 1 6; d 1.972, I = 27, hkl 1 1 9; d 1.727, I = 3, hkl 1 1 12; d 1.515, I = 11, hkl 1 1 15; d 1.459, I = 22, hkl 3 0 0